Structure and calculated powder diffractogram of NaMo3O11 (a structure optimized by DFT (GGA+U); CuKα).
Intensities are scaled so that the largest is 100.

Largest 8 diffraction maxima, most intense first, 10 to 80 degrees two-theta:
2θ/deg  Rel. int.  hkl
11.6  100  1 0 1
28.5  41  1 2 2
16.6  19  1 1 1
23.4  18  0 0 4
13.2  17  0 1 1
31.1  16  1 0 5
32.8  15  3 0 2
26.6  11  1 2 1

Cell and atoms:
Lattice parameters (Å, degrees): 8.791 7.456 15.182 90.00 90.00 90.00
Space group Pnma (No. 62)
Inequivalent atoms, fractional coordinates:
Na 0.028 0.250 0.193 (multiplicity 4)
Mo 0.117 0.501 0.608 (multiplicity 8)
Mo 0.208 0.250 0.426 (multiplicity 4)
O 0.050 0.023 0.715 (multiplicity 8)
O 0.052 0.750 0.587 (multiplicity 4)
O 0.105 0.750 0.961 (multiplicity 4)
O 0.122 0.250 0.570 (multiplicity 4)
O 0.133 0.002 0.452 (multiplicity 8)
O 0.191 0.046 0.120 (multiplicity 8)
O 0.226 0.250 0.312 (multiplicity 4)
O 0.241 0.250 0.923 (multiplicity 4)